Diffraction record for AlCo3Se2ClO8. The PXRD pattern is calculated, not measured: it uses a crystal structure in Alexandria, relaxed with PBE+U and Cu Kα.
Neutral-atom scattering factors, no anomalous dispersion.

Principal peaks in the range 10 to 90 degrees two-theta, low angle first:
2θ = 11.11°, d 7.966, I = 66, hkl 0 1 0; 2θ = 18.09°, d 4.905, I = 82, hkl 1 -1 0; 2θ = 18.70°, d 4.746, I = 100, hkl 1 1 0; 2θ = 26.36°, d 3.380, I = 57, hkl 1 -2 0; 2θ = 27.18°, d 3.281, I = 38, hkl 1 2 0; 2θ = 28.65°, d 3.116, I = 39, hkl 1 0 -3; 2θ = 29.90°, d 2.988, I = 41, hkl 0 1 -3; 2θ = 33.06°, d 2.709, I = 58, hkl -2 1 2

Atomic structure:
```
AlCo3Se2ClO8
1.0
6.246 0.000 0.000
-0.164 7.977 0.000
-2.281 -0.498 9.467
Al Co Se Cl O
2 6 4 2 16
Direct
0.249 0.128 0.250 Al
0.751 0.872 0.750 Al
0.000 0.000 0.000 Co
0.000 0.000 0.500 Co
0.291 0.768 0.257 Co
0.500 0.000 0.000 Co
0.500 0.000 0.500 Co
0.709 0.232 0.743 Co
0.202 0.646 0.918 Se
0.289 0.633 0.574 Se
0.711 0.367 0.426 Se
0.798 0.354 0.082 Se
0.321 0.160 0.681 Cl
0.679 0.840 0.319 Cl
0.021 0.205 0.120 O
0.085 0.767 0.586 O
0.197 0.970 0.363 O
0.201 0.613 0.089 O
0.274 0.597 0.399 O
0.289 0.982 0.113 O
0.427 0.773 0.919 O
0.472 0.222 0.381 O
0.528 0.778 0.619 O
0.573 0.227 0.081 O
0.711 0.018 0.887 O
0.726 0.403 0.601 O
0.799 0.387 0.911 O
0.803 0.030 0.637 O
0.915 0.233 0.414 O
0.979 0.795 0.880 O
```